For DyTh2Ga3Ir4, the PBE geometry in Alexandria gives the computed X-ray diffraction stick pattern in this record (Cu Kα).
Lines closer than 0.1° are merged.

Largest 8 diffraction maxima, in order of falling intensity, 2θ from 10° to 90°:
index  two_theta  I/Imax
1 1 2  33.97  100
2 0 0  42.87  47
1 0 3  31.81  25
3 1 2  72.83  23
1 0 4  38.29  19
1 0 5  45.45  17
1 0 2  26.34  17
2 2 0  62.24  16

Structure:
a = 4.2192 Å, b = 4.2192 Å, c = 11.3240 Å
α = 90.00°, β = 90.00°, γ = 90.00°
Space group P-4m2 (No. 115)
Inequivalent atoms, fractional coordinates:
Dy 0.0000 0.0000 0.0000
Th 0.0000 0.5000 0.7226
Ga 0.0000 0.5000 0.3813
Ga 0.5000 0.5000 0.0000
Ir 0.0000 0.0000 0.5000
Ir 0.0000 0.5000 0.1614
Ir 0.5000 0.5000 0.5000

***

For AcGa4Au4, the PBE geometry in Alexandria gives the computed X-ray diffraction stick pattern in this record (Cu Kα).
Lines closer than 0.1° are merged.

Largest 8 diffraction maxima, in order of falling intensity, 2θ from 10° to 90°:
index  two_theta  I/Imax
2 1 1  32.60  100
1 0 3  33.03  60
2 0 1  29.43  56
3 0 3  52.41  41
2 2 0  39.51  32
2 2 2  44.57  31
1 1 2  27.90  25
4 0 0  57.11  24

Structure:
a = 6.4516 Å, b = 6.4516 Å, c = 8.9668 Å
α = 90.00°, β = 90.00°, γ = 90.00°
Space group P4_2/nmc (No. 137, origin choice 2)
Inequivalent atoms, fractional coordinates:
Ac 0.2500 0.7500 0.2500
Ga 0.0280 0.2500 0.1359
Au 0.0312 0.2500 0.4288